Calculated powder diffraction line list
Compound: TaCo2PbO6
Radiation: Cu Kα (weighted mean of Kα1 and Kα2)
Structure: a PBE+U-relaxed structure

Main lines, in order of rising 2θ (10° ≤ 2θ ≤ 80°):
d (Å), intensity, index
3.885, 17.1, 0 0 2
3.630, 24.0, 1 0 0
2.653, 100.0, 1 0 2
2.567, 45.9, 1 1 0
2.142, 27.8, 1 1 2
1.943, 12.9, 0 0 4
1.815, 25.7, 2 0 0
1.549, 24.3, 1 1 4
1.498, 35.7, 2 1 2
1.326, 14.3, 2 0 4
1.283, 7.7, 2 2 0
1.220, 11.8, 1 0 6

Cell and atoms:
```
data_TaCo2PbO6
_chemical_formula_sum 'Ta1 Co2 Pb1 O6'
_cell_length_a 3.6302
_cell_length_b 3.6302
_cell_length_c 7.7709
_cell_angle_alpha 90.00
_cell_angle_beta 90.00
_cell_angle_gamma 90.00
_symmetry_space_group_name_H-M 'P 4/m m m'
_symmetry_Int_Tables_number 123
_symmetry_space_group_name_Hall '-P 4 2'
loop_
_atom_site_label
_atom_site_type_symbol
_atom_site_fract_x
_atom_site_fract_y
_atom_site_fract_z
_atom_site_occupancy
Ta1 Ta 0.0000 0.0000 0.0000 1
Co1 Co 0.5000 0.5000 0.2396 1
Pb1 Pb 0.0000 0.0000 0.5000 1
O1 O 0.0000 0.5000 0.1878 1
O2 O 0.5000 0.5000 0.0000 1
O3 O 0.5000 0.5000 0.5000 1
```